Structure and calculated powder X-ray diffraction pattern of KMnZn2F8 (DFT lattice parameters and positions (GGA+U); λ = 1.5418 Å (Cu Kα)).
Lines closer than 0.1° are merged.

Crystal structure
abc: 5.1800 5.1800 23.4117
angles: 90.00 90.00 120.00
Space group R-3 (No. 148, hexagonal axes)
Unique sites:
K1 0.0000 0.0000 0.0000 (multiplicity 3)
Mn1 0.0000 0.0000 0.5000 (multiplicity 3)
Zn1 0.0000 0.0000 0.2410 (multiplicity 6)
F1 0.0000 0.0000 0.3204 (multiplicity 6)
F2 0.0123 0.3086 0.5471 (multiplicity 18)

Main lines, low angle first (10 to 90 degrees two-theta):
d/Å  Rel. int.
7.804  234
3.560  1000
2.601  97
2.590  395
2.451  224
2.094  221
1.629  183
1.558  229
1.495  173
1.467  110